The following is a simulated powder diffraction line list of TePO5. It was derived from the GGA-PBE geometry in the Materials Project, using Cu Kα (λ = 1.5418 Å).
No peak broadening, texture or thermal motion is included.

Main lines, most intense first (10° ≤ 2θ ≤ 90°):
26.3°, rel. 100, (2 0 1); 17.8°, rel. 89, (0 1 1); 38.0°, rel. 60, (0 1 3); 26.9°, rel. 57, (0 2 0); 23.4°, rel. 44, (0 0 2); 56.0°, rel. 28, (2 1 4); 27.2°, rel. 20, (2 1 0); 36.2°, rel. 20, (2 1 2); 42.7°, rel. 20, (0 3 1); 43.0°, rel. 18, (2 0 3)

Lattice parameters (Å, degrees): 7.5623 6.6179 7.5962 90.00 90.00 90.00
Space group Pnma (No. 62)
Inequivalent atoms, fractional coordinates:
Te1 0.1379 0.2500 0.2433 x4
P1 0.1251 0.7500 0.1268 x4
O1 0.0526 0.2500 0.9759 x4
O2 0.1101 0.7500 0.6750 x4
O3 0.1338 0.5655 0.2519 x8
O4 0.2098 0.2500 0.5047 x4